1.
Hf7As2C2: simulated PXRD pattern (Cu Kα (λ = 1.5418 Å)), based on a cell relaxed with GGA-PBE.
No peak broadening, texture or thermal motion is included.

Top 10 peaks for 2θ from 5° to 70°, sorted by position:
29.2°, I = 35; 32.0°, I = 35; 32.5°, I = 33; 33.5°, I = 54; 35.2°, I = 57; 37.4°, I = 100; 39.0°, I = 38; 39.3°, I = 83; 39.9°, I = 55; 69.3°, I = 33

```
Hf7As2C2
1.0
-1.6428 6.9363 4.2157
1.6428 -6.9363 4.2157
1.6428 6.9363 -4.2157
Hf As C
7 2 2
Cartesian
0.0000 0.0000 0.0000 Hf
1.6428 2.5343 -0.8911 Hf
1.6428 -2.1770 2.0144 Hf
1.6428 2.1770 2.0144 Hf
1.6428 5.1143 0.7499 Hf
0.0000 4.4019 3.3246 Hf
0.0000 1.8220 4.9655 Hf
0.0000 0.0000 2.8101 As
0.0000 6.9363 2.0075 As
0.0000 3.5284 1.0592 C
0.0000 10.3441 1.0592 C
```

***

2.
Hf6AsC: simulated PXRD pattern (Cu Kα (λ = 1.5418 Å)), based on a cell relaxed with GGA-PBE.
No peak broadening, texture or thermal motion is included.

Top 10 peaks for 2θ from 5° to 70°, sorted by position:
30.8°, I = 16; 31.7°, I = 21; 34.7°, I = 100; 36.1°, I = 3; 44.8°, I = 26; 48.4°, I = 3; 54.7°, I = 20; 58.5°, I = 18; 64.7°, I = 15; 66.5°, I = 14

```
Hf6AsC
1.0
2.9042 1.6767 5.6373
-2.9042 1.6767 5.6373
0.0000 -3.3534 5.6373
Hf As C
6 1 1
Cartesian
-1.8623 -0.1160 7.2092 Hf
-0.8307 -1.6708 9.7028 Hf
1.0316 -1.5548 7.2091 Hf
-1.0316 1.5548 9.7028 Hf
0.8307 1.6708 7.2091 Hf
1.8623 0.1160 9.7028 Hf
0.0000 0.0000 0.0000 As
0.0000 0.0000 8.4560 C
```

***

3.
Hg2AsCS: simulated PXRD pattern (Cu Kα (λ = 1.5418 Å)), based on a cell relaxed with GGA-PBE.
No peak broadening, texture or thermal motion is included.

Top 10 peaks for 2θ from 5° to 70°, sorted by position:
22.2°, I = 53; 26.2°, I = 29; 31.6°, I = 83; 34.6°, I = 100; 41.5°, I = 35; 45.3°, I = 31; 51.0°, I = 13; 53.0°, I = 17; 58.2°, I = 46; 63.8°, I = 22

```
Hg2AsCS
1.0
5.6677 0.0000 0.0000
0.0000 5.6677 0.0000
0.0000 0.0000 3.4042
Hg As C S
2 1 1 1
Cartesian
0.0000 2.8339 0.0000 Hg
2.8339 0.0000 0.0000 Hg
0.0000 0.0000 1.7021 As
2.8339 2.8339 1.7021 C
2.8339 2.8339 0.0000 S
```

***

4.
Ho5As4C: simulated PXRD pattern (Cu Kα (λ = 1.5418 Å)), based on a cell relaxed with GGA-PBE.
No peak broadening, texture or thermal motion is included.

Top 10 peaks for 2θ from 5° to 70°, sorted by position:
27.3°, I = 57; 31.2°, I = 53; 31.8°, I = 100; 39.7°, I = 10; 45.1°, I = 74; 45.5°, I = 32; 53.1°, I = 9; 53.9°, I = 10; 56.2°, I = 33; 66.4°, I = 8

```
Ho5As4C
1.0
-4.4551 4.4551 2.8674
4.4551 -4.4551 2.8674
4.4551 4.4551 -2.8674
Ho As C
5 4 1
Cartesian
0.0000 0.0000 0.0000 Ho
5.2822 2.0323 0.2067 Ho
2.0323 3.6279 0.2067 Ho
2.4228 0.8271 3.0740 Ho
-0.8271 2.4228 3.0740 Ho
2.7094 0.8171 0.2190 As
3.6379 -1.7456 3.0864 As
0.8171 6.2007 0.2190 As
1.7456 3.6379 3.0864 As
0.0000 0.0000 3.2702 C
```

***

5.
Pr8As3CI4: simulated PXRD pattern (Cu Kα (λ = 1.5418 Å)), based on a cell relaxed with GGA-PBE.
No peak broadening, texture or thermal motion is included.

Top 10 peaks for 2θ from 5° to 70°, sorted by position:
24.4°, I = 8; 28.6°, I = 100; 30.9°, I = 24; 34.6°, I = 12; 39.4°, I = 25; 42.4°, I = 37; 51.9°, I = 16; 55.8°, I = 15; 57.1°, I = 10; 69.2°, I = 12

```
Pr8As3CI4
1.0
4.2675 2.4639 7.7732
-4.2675 2.4639 7.7732
0.0000 -4.9277 7.7732
Pr As C I
8 3 1 4
Cartesian
0.0000 0.0000 5.3974 Pr
-1.9019 -1.0981 13.1052 Pr
0.0000 -2.1962 10.2144 Pr
-1.9019 1.0981 10.2144 Pr
1.9019 -1.0981 13.1052 Pr
0.0000 2.1962 13.1052 Pr
1.9019 1.0981 10.2144 Pr
0.0000 0.0000 17.9222 Pr
-4.2675 0.0000 11.6598 As
-2.1338 1.2319 3.8866 As
2.1338 1.2319 3.8866 As
0.0000 0.0000 11.6598 C
0.0000 0.0000 0.0000 I
-2.1338 -1.2319 7.7732 I
-2.1338 1.2319 15.5464 I
0.0000 2.4639 7.7732 I
```

***

Question: Number 4 is which compound?
Answer: Ho5As4C